Structure and calculated X-ray powder pattern of Tm2MgNi2 (a cell relaxed with GGA-PBE; Cu Kα X-rays).

abc: 7.2363 7.2363 3.7112
angles: 90.00 90.00 90.00
Element x y z (fractional)
Tm: 0.1740 0.3260 0.0000
Tm: 0.3260 0.8260 0.0000
Tm: 0.6740 0.1740 0.0000
Tm: 0.8260 0.6740 0.0000
Mg: 0.0000 0.0000 0.5000
Mg: 0.5000 0.5000 0.5000
Ni: 0.1193 0.6193 0.5000
Ni: 0.3807 0.1193 0.5000
Ni: 0.6193 0.8807 0.5000
Ni: 0.8807 0.3807 0.5000

Main lines, most intense first (2θ from 10° to 80°):
2θ (°), d/Å, I (rel.)
36.85, 2.439, 100
34.62, 2.591, 28
27.56, 3.236, 23
39.38, 2.288, 21
17.33, 5.117, 20
58.14, 1.587, 18
24.60, 3.618, 16
52.11, 1.755, 15
49.10, 1.856, 12
23.98, 3.711, 11


Structure and calculated X-ray powder pattern of Mg6VNi (a cell relaxed with GGA-PBE; Cu Kα X-rays).

abc: 4.8061 6.0579 10.4671
angles: 90.00 90.00 90.00
Element x y z (fractional)
Mg: 0.0000 0.0000 0.0000
Mg: 0.0000 0.0000 0.4970
Mg: 0.0000 0.2457 0.2354
Mg: 0.0000 0.2543 0.7354
Mg: 0.0000 0.5000 0.5000
Mg: 0.0000 0.5000 0.9970
Mg: 0.0000 0.7457 0.7354
Mg: 0.0000 0.7543 0.2354
Mg: 0.5000 0.2482 0.4078
Mg: 0.5000 0.2518 0.9078
Mg: 0.5000 0.7482 0.9078
Mg: 0.5000 0.7518 0.4078
V: 0.5000 0.0000 0.6574
V: 0.5000 0.5000 0.1574
Ni: 0.5000 0.0000 0.1573
Ni: 0.5000 0.5000 0.6573

Main lines, most intense first (2θ from 10° to 80°):
2θ (°), d/Å, I (rel.)
39.16, 2.300, 100
34.22, 2.620, 28
37.42, 2.403, 25
68.67, 1.367, 17
51.61, 1.771, 16
16.94, 5.234, 15
74.10, 1.280, 11
61.32, 1.512, 11
18.46, 4.806, 9
75.12, 1.265, 9


Structure and calculated X-ray powder pattern of Mg6VNi (a cell relaxed with GGA-PBE; Cu Kα X-rays).

abc: 4.7954 6.1035 10.4343
angles: 90.00 90.00 90.00
Element x y z (fractional)
Mg: 0.0000 0.0000 0.0000
Mg: 0.0000 0.2364 0.7482
Mg: 0.0000 0.2636 0.2482
Mg: 0.0000 0.5000 0.5000
Mg: 0.0000 0.7364 0.2482
Mg: 0.0000 0.7636 0.7482
Mg: 0.5000 0.0000 0.1715
Mg: 0.5000 0.2413 0.4254
Mg: 0.5000 0.2587 0.9254
Mg: 0.5000 0.5000 0.6715
Mg: 0.5000 0.7413 0.9254
Mg: 0.5000 0.7587 0.4254
V: 0.0000 0.0000 0.5082
V: 0.0000 0.5000 0.0082
Ni: 0.5000 0.0000 0.6543
Ni: 0.5000 0.5000 0.1543

Main lines, most intense first (2θ from 10° to 80°):
2θ (°), d/Å, I (rel.)
39.01, 2.309, 100
39.32, 2.291, 52
37.51, 2.398, 39
16.83, 5.268, 34
34.03, 2.634, 28
68.69, 1.367, 17
74.18, 1.278, 17
51.54, 1.773, 16
61.36, 1.511, 15
74.75, 1.270, 13